Simulated PXRD pattern of Tb7Ce2Sm2 for λ = 1.5418 Å (Cu Kα), from a crystal structure in Alexandria, relaxed with PBE.

Top 8 peaks for 10° ≤ 2θ ≤ 90°, low angle first:
(3 1 -1), 2θ = 25.9°, I = 25
(0 4 0), 2θ = 30.8°, I = 50
(1 1 -2), 2θ = 30.9°, I = 28
(2 2 1), 2θ = 31.9°, I = 100
(4 0 -1), 2θ = 32.2°, I = 26
(2 2 -2), 2θ = 33.9°, I = 65
(4 4 -1), 2θ = 45.1°, I = 16
(2 6 1), 2θ = 55.4°, I = 15

Structure:
Cell: 11.161 11.619 6.017 Å, 90.00 112.67 90.00°
Space group C2/m (No. 12)
Unique sites:
Tb  0.000  0.000  0.000 x2
Tb  0.091  0.500  0.805 x4
Tb  0.172  0.238  0.173 x8
Ce  0.000  0.216  0.500 x4
Sm  0.229  0.000  0.588 x4